This entry pairs a crystal structure of Na4IN12 with its theoretical PXRD pattern. Radiation: copper Kα. Structure: a GGA-PBE-relaxed structure.
Neutral-atom scattering factors, no anomalous dispersion.

Peak list (6 most intense, 15° ≤ 2θ ≤ 90°, in order of rising 2θ)
2θ (°), d (Å), I/Imax
25.1, 3.543, 100
29.1, 3.068, 36
32.6, 2.744, 21
38.8, 2.319, 56
41.6, 2.170, 20
51.6, 1.772, 21

Atomic structure:
Unit cell a=7.5159 b=7.5159 c=7.5159 alpha=109.47 beta=109.47 gamma=109.47
Atoms (fractional coordinates):
1 Na 0.0000 0.0000 0.5000
2 Na 0.0000 0.5000 0.0000
3 Na 0.5000 0.0000 0.0000
4 Na 0.5000 0.5000 0.5000
5 I 0.0000 0.0000 0.0000
6 N 0.2137 0.6478 0.4341
7 N 0.2137 0.7797 0.5659
8 N 0.2203 0.4341 0.7863
9 N 0.3522 0.5659 0.7863
10 N 0.4341 0.2137 0.6478
11 N 0.4341 0.7863 0.2203
12 N 0.5659 0.2137 0.7797
13 N 0.5659 0.7863 0.3522
14 N 0.6478 0.4341 0.2137
15 N 0.7797 0.5659 0.2137
16 N 0.7863 0.2203 0.4341
17 N 0.7863 0.3522 0.5659

This entry pairs a crystal structure of ThZn2Tc with its theoretical PXRD pattern. Radiation: copper Kα. Structure: a GGA-PBE-relaxed structure.
Neutral-atom scattering factors, no anomalous dispersion.

Peak list (6 most intense, 15° ≤ 2θ ≤ 90°, in order of rising 2θ)
2θ (°), d (Å), I/Imax
19.8, 4.476, 34
33.6, 2.668, 100
33.8, 2.654, 40
38.4, 2.343, 47
38.7, 2.325, 30
39.1, 2.305, 47

Atomic structure:
Unit cell a=4.7044 b=6.6470 c=5.1669 alpha=90.00 beta=107.94 gamma=90.00
Atoms (fractional coordinates):
1 Th 0.0434 0.2500 0.1496
2 Th 0.9566 0.7500 0.8504
3 Zn 0.4181 0.0550 0.7232
4 Zn 0.4181 0.4450 0.7232
5 Zn 0.5819 0.5550 0.2768
6 Zn 0.5819 0.9450 0.2768
7 Tc 0.1122 0.7500 0.3886
8 Tc 0.8878 0.2500 0.6114

- Number 2 is which compound?
  ThZn2Tc

- Number 2 is which compound?
  ThZn2Tc